Record 1
Structure and computed XRD peak list of FeSnO3 (a GGA+U-relaxed structure; a wavelength of 1.5418 Å).
Kinematic intensities with the Lorentz-polarization factor, no thermal factor.

Largest 6 diffraction maxima, in order of falling intensity, 2θ from 5° to 70°:
d [Å]  Position (°2θ)  intensity
2.847  31.4  100
1.644  55.9  40
2.013  45.0  35
4.026  22.1  28
1.423  65.6  21
1.800  50.7  13

a = 4.0258 Å, b = 4.0258 Å, c = 4.0258 Å
α = 90.00°, β = 90.00°, γ = 90.00°
Fractional coordinates of all 5 atoms:
Fe 0.0000 0.0000 0.0000
Sn 0.5000 0.5000 0.5000
O 0.0000 0.5000 0.5000
O 0.5000 0.0000 0.5000
O 0.5000 0.5000 0.0000



Record 2
Structure and computed XRD peak list of Ba3MgMn3O9 (a GGA+U-relaxed structure; a wavelength of 1.5418 Å).
Kinematic intensities with the Lorentz-polarization factor, no thermal factor.

Largest 10 diffraction maxima, in order of falling intensity, 2θ from 5° to 70°:
d [Å]  Position (°2θ)  intensity
2.908  30.7  100
2.889  31.0  84
4.330  20.5  72
2.668  33.6  67
2.650  33.8  62
2.845  31.4  61
3.029  29.5  45
2.165  41.7  43
3.544  25.1  41
2.119  42.7  40

a = 5.8166 Å, b = 5.8350 Å, c = 8.2322 Å
α = 82.20°, β = 70.06°, γ = 61.01°
Fractional coordinates of all 16 atoms:
Ba 0.0000 0.0000 0.0000
Ba 0.1871 0.3082 0.2950
Ba 0.3853 0.6390 0.5622
Mg 0.4528 0.2630 0.8468
Mn 0.5810 0.6645 0.1506
Mn 0.7447 0.7259 0.7963
Mn 0.7885 0.9257 0.4719
O 0.0447 0.5387 0.8991
O 0.1520 0.8373 0.3094
O 0.4521 0.9875 0.6864
O 0.5146 0.9737 0.0058
O 0.5529 0.5232 0.9339
O 0.6668 0.8313 0.3057
O 0.6778 0.3504 0.2687
O 0.8597 0.0028 0.6819
O 0.9250 0.5388 0.5891



Record 3
Structure and computed XRD peak list of Li3Ti4VO8 (a GGA+U-relaxed structure; a wavelength of 1.5418 Å).
Kinematic intensities with the Lorentz-polarization factor, no thermal factor.

Largest 10 diffraction maxima, in order of falling intensity, 2θ from 5° to 70°:
d [Å]  Position (°2θ)  intensity
2.102  43.0  100
4.892  18.1  44
1.488  62.4  18
1.484  62.6  18
2.520  35.6  14
2.411  37.3  11
1.500  61.9  9
2.535  35.4  9
1.472  63.2  9
4.823  18.4  9

a = 5.9367 Å, b = 5.9367 Å, c = 5.9992 Å
α = 120.15°, β = 120.15°, γ = 59.44°
Fractional coordinates of all 16 atoms:
Li 0.0000 0.0000 0.0000
Li 0.0000 0.5000 0.0000
Li 0.5000 0.0000 0.0000
Ti 0.0000 0.0000 0.5000
Ti 0.0000 0.5000 0.5000
Ti 0.5000 0.0000 0.5000
Ti 0.5000 0.5000 0.0000
V 0.5000 0.5000 0.5000
O 0.2457 0.7518 0.2451
O 0.2482 0.7543 0.7549
O 0.2494 0.2494 0.2659
O 0.2500 0.2500 0.7576
O 0.7500 0.7500 0.2424
O 0.7506 0.7506 0.7341
O 0.7518 0.2457 0.2451
O 0.7543 0.2482 0.7549



Record 4
Structure and computed XRD peak list of YWBrO4 (a GGA+U-relaxed structure; a wavelength of 1.5418 Å).
Kinematic intensities with the Lorentz-polarization factor, no thermal factor.

Largest 10 diffraction maxima, in order of falling intensity, 2θ from 5° to 70°:
d [Å]  Position (°2θ)  intensity
3.655  24.4  100
3.491  25.5  44
3.303  27.0  38
4.894  18.1  27
2.926  30.6  23
2.724  32.9  23
2.507  35.8  18
3.031  29.5  18
3.239  27.5  17
4.785  18.5  17

a = 7.0359 Å, b = 7.3487 Å, c = 11.0779 Å
α = 103.77°, β = 107.99°, γ = 94.29°
Fractional coordinates of all 28 atoms:
Y 0.1200 0.3399 0.2324
Y 0.1601 0.1103 0.7308
Y 0.8399 0.8897 0.2692
Y 0.8800 0.6601 0.7676
W 0.2282 0.8146 0.1335
W 0.2685 0.5886 0.6261
W 0.7315 0.4114 0.3739
W 0.7718 0.1854 0.8665
Br 0.2360 0.9948 0.4802
Br 0.3096 0.2794 0.0180
Br 0.6904 0.7206 0.9820
Br 0.7640 0.0052 0.5198
O 0.0977 0.0137 0.1837
O 0.1367 0.6349 0.1992
O 0.1549 0.7862 0.7026
O 0.1565 0.7303 0.9566
O 0.1654 0.5022 0.4471
O 0.2219 0.4010 0.6984
O 0.4623 0.3499 0.3303
O 0.4992 0.8784 0.2052
O 0.5008 0.1216 0.7948
O 0.5377 0.6501 0.6697
O 0.7781 0.5990 0.3016
O 0.8346 0.4978 0.5529
O 0.8435 0.2697 0.0434
O 0.8451 0.2138 0.2974
O 0.8633 0.3651 0.8008
O 0.9023 0.9863 0.8163



Record 5
Structure and computed XRD peak list of La2MgMnZnO6 (a GGA+U-relaxed structure; a wavelength of 1.5418 Å).
Kinematic intensities with the Lorentz-polarization factor, no thermal factor.

Largest 10 diffraction maxima, in order of falling intensity, 2θ from 5° to 70°:
d [Å]  Position (°2θ)  intensity
3.220  27.7  100
2.859  31.3  87
2.794  32.0  46
2.849  31.4  43
4.265  20.8  37
1.999  45.4  31
2.007  45.2  30
1.647  55.8  28
2.806  31.9  24
1.635  56.3  20

a = 5.6989 Å, b = 5.7172 Å, c = 6.5361 Å
α = 64.19°, β = 89.95°, γ = 60.13°
Fractional coordinates of all 11 atoms:
La 0.0000 0.0000 0.0000
La 0.4605 0.0782 0.3858
Mg 0.8113 0.3777 0.4403
Mn 0.6502 0.7002 0.9445
Zn 0.2241 0.5488 0.6795
O 0.0147 0.2427 0.2038
O 0.2132 0.2062 0.6830
O 0.4437 0.5391 0.2008
O 0.5778 0.5357 0.6869
O 0.7353 0.8182 0.1990
O 0.8833 0.8918 0.6891



Record 6
Structure and computed XRD peak list of V2CuP2O15 (a GGA+U-relaxed structure; a wavelength of 1.5418 Å).
Kinematic intensities with the Lorentz-polarization factor, no thermal factor.

Largest 10 diffraction maxima, in order of falling intensity, 2θ from 5° to 70°:
d [Å]  Position (°2θ)  intensity
7.316  12.1  100
3.658  24.3  72
12.197  7.2  58
3.049  29.3  51
5.449  16.3  39
4.908  18.1  37
3.000  29.8  37
3.116  28.7  32
5.052  17.6  30
7.104  12.5  29

a = 6.2777 Å, b = 7.6025 Å, c = 12.5968 Å
α = 104.23°, β = 90.94°, γ = 96.44°
Fractional coordinates of all 40 atoms:
V 0.2382 0.4089 0.1127
V 0.2422 0.4347 0.6146
V 0.7578 0.5653 0.3854
V 0.7618 0.5911 0.8873
Cu 0.1091 0.9915 0.9075
Cu 0.8909 0.0085 0.0925
P 0.2474 0.4933 0.3743
P 0.2526 0.5055 0.8757
P 0.7474 0.4945 0.1243
P 0.7526 0.5067 0.6257
O 0.0660 0.6195 0.3909
O 0.0754 0.6352 0.8941
O 0.0745 0.9492 0.7638
O 0.1616 0.0852 0.0542
O 0.2270 0.3749 0.9526
O 0.2281 0.3706 0.4569
O 0.2336 0.3649 0.2573
O 0.2395 0.3838 0.7566
O 0.2551 0.0448 0.5796
O 0.2627 0.6284 0.1459
O 0.2729 0.6524 0.6437
O 0.3632 0.0362 0.8516
O 0.4111 0.0091 0.6258
O 0.4641 0.6189 0.3939
O 0.4680 0.6334 0.8977
O 0.5320 0.3666 0.1023
O 0.5359 0.3811 0.6061
O 0.5889 0.9909 0.3742
O 0.6368 0.9638 0.1484
O 0.7271 0.3476 0.3563
O 0.7373 0.3716 0.8541
O 0.7449 0.9552 0.4204
O 0.7605 0.6162 0.2434
O 0.7664 0.6351 0.7427
O 0.7719 0.6294 0.5431
O 0.7730 0.6251 0.0474
O 0.8384 0.9148 0.9458
O 0.9255 0.0508 0.2362
O 0.9246 0.3648 0.1059
O 0.9340 0.3805 0.6091



Record 7
Structure and computed XRD peak list of FeOF (a GGA+U-relaxed structure; a wavelength of 1.5418 Å).
Kinematic intensities with the Lorentz-polarization factor, no thermal factor.

Largest 10 diffraction maxima, in order of falling intensity, 2θ from 5° to 70°:
d [Å]  Position (°2θ)  intensity
2.581  34.8  100
3.360  26.5  97
3.402  26.2  97
1.748  52.3  55
1.760  52.0  53
2.278  39.6  20
1.416  66.0  18
1.412  66.2  18
1.534  60.4  18
2.265  39.8  17

a = 9.5480 Å, b = 3.0670 Å, c = 9.5759 Å
α = 90.00°, β = 90.71°, γ = 90.00°
Fractional coordinates of all 24 atoms:
Fe 0.0000 0.0000 0.0000
Fe 0.0062 0.0000 0.5313
Fe 0.2277 0.5000 0.7739
Fe 0.2353 0.5000 0.3014
Fe 0.4574 0.0000 0.5432
Fe 0.5071 0.0000 0.0344
Fe 0.7283 0.5000 0.2757
Fe 0.7371 0.5000 0.8035
O 0.0757 0.5000 0.6279
O 0.1329 0.0000 0.3721
O 0.1470 0.0000 0.8795
O 0.3343 0.0000 0.6929
O 0.3918 0.5000 0.4332
O 0.5898 0.5000 0.1375
O 0.6376 0.0000 0.8826
O 0.8912 0.5000 0.9331
F 0.0871 0.5000 0.1260
F 0.3360 0.0000 0.1823
F 0.3941 0.5000 0.9497
F 0.5858 0.5000 0.6277
F 0.6464 0.0000 0.3847
F 0.8254 0.0000 0.6796
F 0.8375 0.0000 0.1935
F 0.8801 0.5000 0.4305



Record 8
Structure and computed XRD peak list of Nb2Co4O9 (a GGA+U-relaxed structure; a wavelength of 1.5418 Å).
Kinematic intensities with the Lorentz-polarization factor, no thermal factor.

Largest 10 diffraction maxima, in order of falling intensity, 2θ from 5° to 70°:
d [Å]  Position (°2θ)  intensity
2.610  34.4  100
2.802  31.9  84
2.814  31.8  47
1.915  47.5  32
1.508  61.5  25
1.544  59.9  23
3.830  23.2  21
1.756  52.1  19
1.762  51.9  18
1.766  51.8  18

a = 5.2154 Å, b = 5.2174 Å, c = 14.3186 Å
α = 89.70°, β = 89.65°, γ = 60.13°
Fractional coordinates of all 30 atoms:
Nb 0.0000 0.0000 0.0000
Nb 0.0008 0.9948 0.7842
Nb 0.0026 0.9986 0.5014
Nb 0.9958 0.9988 0.2854
Co 0.3309 0.3322 0.1276
Co 0.3350 0.3304 0.6289
Co 0.3350 0.3317 0.8375
Co 0.3356 0.3337 0.3326
Co 0.6648 0.6640 0.1580
Co 0.6658 0.6660 0.6552
Co 0.6666 0.6651 0.4485
Co 0.6740 0.6610 0.9545
O 0.0027 0.7069 0.3935
O 0.0192 0.3196 0.2270
O 0.0217 0.6527 0.7269
O 0.2927 0.0002 0.3924
O 0.2926 0.7086 0.8935
O 0.3212 0.6513 0.2279
O 0.3226 0.0173 0.7264
O 0.3411 0.9774 0.0594
O 0.3451 0.6758 0.5588
O 0.6571 0.0189 0.2259
O 0.6572 0.3188 0.7271
O 0.6785 0.3408 0.0595
O 0.6800 0.9752 0.5593
O 0.7113 0.2853 0.3935
O 0.7106 0.9968 0.8928
O 0.9757 0.6761 0.0587
O 0.9793 0.3407 0.5597
O 0.9981 0.2886 0.8925